Record 1
Al8BC5: computed powder XRD pattern (Cu Kα (weighted mean of Kα1 and Kα2)), based on the PBE geometry in Alexandria.
Peak positions follow from Bragg's law for the DFT cell and can differ from measured ones.

Structure:
Cell: 17.0913 17.0913 17.0913 Å, 11.34 11.34 11.34°
Fractional coordinates of all 14 atoms:
Al  0.0640  0.0640  0.0640
Al  0.1446  0.1446  0.1446
Al  0.3529  0.3529  0.3529
Al  0.4336  0.4336  0.4336
Al  0.5664  0.5664  0.5664
Al  0.6471  0.6471  0.6471
Al  0.8554  0.8554  0.8554
Al  0.9360  0.9360  0.9360
B  0.5000  0.5000  0.5000
C  0.0000  0.0000  0.0000
C  0.1064  0.1064  0.1064
C  0.3908  0.3908  0.3908
C  0.6092  0.6092  0.6092
C  0.8936  0.8936  0.8936

Largest 10 diffraction maxima, in order of rising 2θ, 10° ≤ 2θ ≤ 90°:
| d [Å] | intensity |
| --- | --- |
| 2.906 | 38 |
| 2.851 | 95 |
| 2.537 | 56 |
| 2.280 | 100 |
| 2.122 | 43 |
| 1.921 | 17 |
| 1.689 | 91 |
| 1.545 | 33 |
| 1.357 | 20 |
| 1.322 | 53 |


Record 2
Ce3AlB2C6: computed powder XRD pattern (Cu Kα (weighted mean of Kα1 and Kα2)), based on the PBE geometry in Alexandria.
Peak positions follow from Bragg's law for the DFT cell and can differ from measured ones.

Structure:
Cell: 5.4818 5.4818 6.0303 Å, 90.00 90.00 120.00°
Fractional coordinates of all 12 atoms:
Ce  0.0000  0.0000  0.0000
Ce  0.3333  0.6667  0.6628
Ce  0.6667  0.3333  0.3372
Al  0.0000  0.0000  0.5000
B  0.3333  0.6667  0.2371
B  0.6667  0.3333  0.7629
C  0.1761  0.3522  0.2959
C  0.1761  0.8239  0.2959
C  0.3522  0.1761  0.7041
C  0.6478  0.8239  0.2959
C  0.8239  0.1761  0.7041
C  0.8239  0.6478  0.7041

Largest 10 diffraction maxima, in order of rising 2θ, 10° ≤ 2θ ≤ 90°:
| d [Å] | intensity |
| --- | --- |
| 3.730 | 100 |
| 2.741 | 72 |
| 2.545 | 58 |
| 2.209 | 38 |
| 1.865 | 30 |
| 1.720 | 25 |
| 1.621 | 21 |
| 1.582 | 14 |
| 1.542 | 24 |
| 1.207 | 11 |


Record 3
CaAlB14: computed powder XRD pattern (Cu Kα (weighted mean of Kα1 and Kα2)), based on the PBE geometry in Alexandria.
Peak positions follow from Bragg's law for the DFT cell and can differ from measured ones.

Structure:
Cell: 7.2992 7.2992 7.2992 Å, 132.24 88.23 111.01°
Fractional coordinates of all 32 atoms:
Ca  0.3974  0.1474  0.2500
Ca  0.6026  0.8526  0.7500
Al  0.0000  0.0000  0.5000
Al  0.0000  0.5000  0.0000
B  0.0186  0.8740  0.1446
B  0.0322  0.2050  0.3317
B  0.0322  0.7006  0.8272
B  0.0786  0.6673  0.4113
B  0.2011  0.5348  0.6663
B  0.2215  0.4997  0.3974
B  0.2215  0.8241  0.7218
B  0.2294  0.8740  0.3554
B  0.2441  0.3327  0.9113
B  0.3685  0.5348  0.8337
B  0.3733  0.2050  0.6728
B  0.3733  0.7006  0.1683
B  0.3977  0.1759  0.8974
B  0.3977  0.5003  0.2218
B  0.6023  0.4997  0.7782
B  0.6023  0.8241  0.1026
B  0.6267  0.2994  0.8317
B  0.6267  0.7950  0.3272
B  0.6315  0.4652  0.1663
B  0.7559  0.6673  0.0887
B  0.7706  0.1260  0.6446
B  0.7785  0.1759  0.2782
B  0.7785  0.5003  0.6026
B  0.7989  0.4652  0.3337
B  0.9214  0.3327  0.5887
B  0.9678  0.2994  0.1728
B  0.9678  0.7950  0.6683
B  0.9814  0.1260  0.8554

Largest 10 diffraction maxima, in order of rising 2θ, 10° ≤ 2θ ≤ 90°:
| d [Å] | intensity |
| --- | --- |
| 5.240 | 27 |
| 3.543 | 64 |
| 3.223 | 28 |
| 2.689 | 67 |
| 2.574 | 31 |
| 2.432 | 48 |
| 2.255 | 77 |
| 2.176 | 100 |
| 2.164 | 35 |
| 1.746 | 28 |


Record 4
Ca2AlCo5B2: computed powder XRD pattern (Cu Kα (weighted mean of Kα1 and Kα2)), based on the PBE geometry in Alexandria.
Peak positions follow from Bragg's law for the DFT cell and can differ from measured ones.

Structure:
Cell: 9.2450 9.2450 2.8497 Å, 90.00 90.00 90.00°
Fractional coordinates of all 20 atoms:
Ca  0.1789  0.3211  0.0000
Ca  0.3211  0.8211  0.0000
Ca  0.6789  0.1789  0.0000
Ca  0.8211  0.6789  0.0000
Al  0.0000  0.0000  0.0000
Al  0.5000  0.5000  0.0000
Co  0.0000  0.5000  0.5000
Co  0.0670  0.7724  0.5000
Co  0.2276  0.0670  0.5000
Co  0.2724  0.5670  0.5000
Co  0.4330  0.2724  0.5000
Co  0.5000  0.0000  0.5000
Co  0.5670  0.7276  0.5000
Co  0.7276  0.4330  0.5000
Co  0.7724  0.9330  0.5000
Co  0.9330  0.2276  0.5000
B  0.1192  0.6192  0.0000
B  0.3808  0.1192  0.0000
B  0.6192  0.8808  0.0000
B  0.8808  0.3808  0.0000

Largest 10 diffraction maxima, in order of rising 2θ, 10° ≤ 2θ ≤ 90°:
| d [Å] | intensity |
| --- | --- |
| 2.850 | 33 |
| 2.564 | 24 |
| 2.346 | 72 |
| 2.311 | 24 |
| 2.242 | 100 |
| 2.148 | 43 |
| 2.067 | 51 |
| 2.041 | 87 |
| 1.906 | 48 |
| 1.795 | 24 |